The following is a theoretical X-ray diffraction stick pattern of KLiGa2Cl8. It was derived from a DFT-relaxed cell (GGA-PBE, Alexandria), using Cu Ka.
Neutral-atom scattering factors, no anomalous dispersion.

Structural model:
```
12
Lattice="3.2008 1.8480 9.3474 -3.2008 1.8480 9.3474 0.0000 -3.6960 9.3474" Properties=species:S:1:pos:R:3 pbc="T T T"
K 0.0000 0.0000 0.0000
Li 0.0000 0.0000 14.0211
Ga 0.0000 0.0000 6.8952
Ga 0.0000 0.0000 21.1469
Cl -2.1414 -0.0231 12.4429
Cl -1.0507 -1.8660 15.5993
Cl 0.0000 0.0000 9.1025
Cl 1.0907 -1.8429 12.4429
Cl -1.0907 1.8429 15.5993
Cl 0.0000 0.0000 18.9397
Cl 1.0507 1.8660 12.4429
Cl 2.1414 0.0231 15.5992
```

Principal peaks in the range 15 to 90 degrees two-theta, in order of rising 2θ:
2θ = 17.2°, 5.156 Å, intensity 80
2θ = 19.0°, 4.674 Å, intensity 21
2θ = 20.4°, 4.349 Å, intensity 75
2θ = 27.9°, 3.201 Å, intensity 28
2θ = 28.7°, 3.116 Å, intensity 45
2θ = 29.5°, 3.028 Å, intensity 100
2θ = 33.9°, 2.641 Å, intensity 35
2θ = 48.2°, 1.887 Å, intensity 58
2θ = 49.3°, 1.848 Å, intensity 49
2θ = 58.0°, 1.589 Å, intensity 29

=====

The following is a theoretical X-ray diffraction stick pattern of KSrGa2Cl8. It was derived from a DFT-relaxed cell (GGA-PBE, Alexandria), using Cu Ka.
Neutral-atom scattering factors, no anomalous dispersion.

Structural model:
```
12
Lattice="3.3861 1.9550 9.4889 -3.3861 1.9550 9.4889 0.0000 -3.9100 9.4889" Properties=species:S:1:pos:R:3 pbc="T T T"
K 0.0000 0.0000 0.0000
Sr 0.0000 0.0000 14.2333
Ga 0.0000 0.0000 7.1736
Ga 0.0000 0.0000 21.2931
Cl -1.1547 -2.0879 12.5000
Cl -2.3856 -0.0440 15.9667
Cl 0.0000 0.0000 9.4161
Cl -1.2309 2.0440 12.4999
Cl 1.2309 -2.0440 15.9667
Cl 0.0000 0.0000 19.0505
Cl 2.3856 0.0440 12.5000
Cl 1.1547 2.0879 15.9667
```

Principal peaks in the range 15 to 90 degrees two-theta, in order of rising 2θ:
2θ = 19.6°, 4.526 Å, intensity 100
2θ = 26.3°, 3.386 Å, intensity 51
2θ = 28.0°, 3.189 Å, intensity 53
2θ = 29.4°, 3.042 Å, intensity 40
2θ = 32.5°, 2.756 Å, intensity 35
2θ = 33.0°, 2.711 Å, intensity 31
2θ = 42.7°, 2.116 Å, intensity 30
2θ = 46.4°, 1.955 Å, intensity 52
2θ = 46.8°, 1.943 Å, intensity 56
2θ = 48.4°, 1.882 Å, intensity 17

=====

The following is a theoretical X-ray diffraction stick pattern of La5Ga2Cl3. It was derived from a DFT-relaxed cell (GGA-PBE, Alexandria), using Cu Ka.
Neutral-atom scattering factors, no anomalous dispersion.

Structural model:
```
10
Lattice="7.8842 -1.9707 0.0000 7.8842 1.9707 0.0000 -7.1900 0.0000 9.2899" Properties=species:S:1:pos:R:3 pbc="T T T"
La 0.0000 0.0000 0.0000
La -1.2353 0.0000 3.7991
La 3.1458 0.0000 2.0070
La 5.4325 0.0000 7.2829
La 9.8137 0.0000 5.4908
Ga -0.1235 0.0000 6.8145
Ga 8.7019 0.0000 2.4755
Cl -4.4732 0.0000 8.2733
Cl 4.2892 0.0000 4.6450
Cl 13.0516 0.0000 1.0166
```

Principal peaks in the range 15 to 90 degrees two-theta, in order of rising 2θ:
2θ = 23.0°, 3.875 Å, intensity 38
2θ = 23.9°, 3.724 Å, intensity 56
2θ = 29.0°, 3.083 Å, intensity 100
2θ = 30.2°, 2.957 Å, intensity 84
2θ = 32.5°, 2.758 Å, intensity 29
2θ = 36.3°, 2.475 Å, intensity 49
2θ = 36.6°, 2.456 Å, intensity 35
2θ = 41.8°, 2.162 Å, intensity 31
2θ = 46.1°, 1.971 Å, intensity 29
2θ = 56.1°, 1.640 Å, intensity 28

=====

The following is a theoretical X-ray diffraction stick pattern of La4GaCl3. It was derived from a DFT-relaxed cell (GGA-PBE, Alexandria), using Cu Ka.
Neutral-atom scattering factors, no anomalous dispersion.

Structural model:
```
8
Lattice="5.9830 0.0000 0.0000 0.0000 5.9830 0.0000 0.0000 0.0000 5.9830" Properties=species:S:1:pos:R:3 pbc="T T T"
La 0.0000 0.0000 0.0000
La 0.0000 2.9915 2.9915
La 2.9915 0.0000 2.9915
La 2.9915 2.9915 0.0000
Ga 2.9915 2.9915 2.9915
Cl 0.0000 0.0000 2.9915
Cl 0.0000 2.9915 0.0000
Cl 2.9915 0.0000 0.0000
```

Principal peaks in the range 15 to 90 degrees two-theta, in order of rising 2θ:
2θ = 25.8°, 3.454 Å, intensity 47
2θ = 29.9°, 2.992 Å, intensity 100
2θ = 42.7°, 2.115 Å, intensity 73
2θ = 50.6°, 1.804 Å, intensity 24
2θ = 53.0°, 1.727 Å, intensity 26
2θ = 62.0°, 1.496 Å, intensity 12
2θ = 68.3°, 1.373 Å, intensity 10
2θ = 70.4°, 1.338 Å, intensity 32
2θ = 78.3°, 1.221 Å, intensity 24
2θ = 84.1°, 1.151 Å, intensity 8